Starting from the GGA-PBE geometry in Alexandria, the powder XRD pattern of EuGe7Ir3 was computed for Cu Kα (weighted mean of Kα1 and Kα2).

Structure:
```
data_EuGe7Ir3
_symmetry_space_group_name_H-M 'P 1'
_symmetry_Int_Tables_number 1
_cell_length_a 8.385
_cell_length_b 8.385
_cell_length_c 8.385
_cell_angle_alpha 56.78
_cell_angle_beta 56.78
_cell_angle_gamma 56.78
loop_
_symmetry_equiv_pos_as_xyz
'x,y,z'
loop_
_atom_site_label
_atom_site_fract_x
_atom_site_fract_y
_atom_site_fract_z
Eu1 0.000 0.000 0.000
Eu2 0.500 0.500 0.500
Ge1 0.074 0.850 0.668
Ge2 0.150 0.332 0.926
Ge3 0.168 0.350 0.574
Ge4 0.250 0.250 0.250
Ge5 0.332 0.926 0.150
Ge6 0.350 0.574 0.168
Ge7 0.426 0.832 0.650
Ge8 0.574 0.168 0.350
Ge9 0.650 0.426 0.832
Ge10 0.668 0.074 0.850
Ge11 0.750 0.750 0.750
Ge12 0.832 0.650 0.426
Ge13 0.850 0.668 0.074
Ge14 0.926 0.150 0.332
Ir1 0.067 0.750 0.433
Ir2 0.250 0.567 0.933
Ir3 0.433 0.067 0.750
Ir4 0.567 0.933 0.250
Ir5 0.750 0.433 0.067
Ir6 0.933 0.250 0.567
```

Most intense lines, 10 to 90 degrees two-theta, sorted by position:
two_theta, intensity
25.7, 100
34.1, 41
34.6, 38
38.5, 41
39.1, 57
45.0, 77
47.2, 37
47.4, 56

=====

Starting from the GGA-PBE geometry in Alexandria, the powder XRD pattern of KEuGe4O12 was computed for Cu Kα (weighted mean of Kα1 and Kα2).

Structure:
```
data_KEuGe4O12
_symmetry_space_group_name_H-M 'P 1'
_symmetry_Int_Tables_number 1
_cell_length_a 5.335
_cell_length_b 5.335
_cell_length_c 7.578
_cell_angle_alpha 90.00
_cell_angle_beta 90.00
_cell_angle_gamma 90.00
loop_
_symmetry_equiv_pos_as_xyz
'x,y,z'
loop_
_atom_site_label
_atom_site_fract_x
_atom_site_fract_y
_atom_site_fract_z
K1 0.000 0.000 0.000
Eu1 0.500 0.500 0.500
Ge1 0.000 0.500 0.242
Ge2 0.000 0.500 0.758
Ge3 0.500 0.000 0.242
Ge4 0.500 0.000 0.758
O1 0.000 0.500 0.000
O2 0.000 0.500 0.500
O3 0.259 0.259 0.268
O4 0.259 0.259 0.732
O5 0.259 0.741 0.268
O6 0.259 0.741 0.732
O7 0.500 0.000 0.000
O8 0.500 0.000 0.500
O9 0.741 0.259 0.268
O10 0.741 0.259 0.732
O11 0.741 0.741 0.268
O12 0.741 0.741 0.732
```

Most intense lines, 10 to 90 degrees two-theta, sorted by position:
two_theta, intensity
20.4, 49
23.6, 15
33.5, 100
39.6, 17
48.0, 14
48.2, 29
60.0, 26
70.4, 16

=====

Starting from the GGA-PBE geometry in Alexandria, the powder XRD pattern of K2EuGeSe5 was computed for Cu Kα (weighted mean of Kα1 and Kα2).

Structure:
```
data_K2EuGeSe5
_symmetry_space_group_name_H-M 'P 1'
_symmetry_Int_Tables_number 1
_cell_length_a 11.924
_cell_length_b 10.137
_cell_length_c 8.967
_cell_angle_alpha 90.00
_cell_angle_beta 90.08
_cell_angle_gamma 90.00
loop_
_symmetry_equiv_pos_as_xyz
'x,y,z'
loop_
_atom_site_label
_atom_site_fract_x
_atom_site_fract_y
_atom_site_fract_z
K1 0.031 0.208 0.013
K2 0.031 0.292 0.513
K3 0.203 0.543 0.870
K4 0.203 0.957 0.370
K5 0.797 0.043 0.630
K6 0.797 0.457 0.130
K7 0.969 0.708 0.487
K8 0.969 0.792 0.987
Eu1 0.483 0.223 0.108
Eu2 0.483 0.277 0.608
Eu3 0.517 0.723 0.392
Eu4 0.517 0.777 0.892
Ge1 0.254 0.017 0.804
Ge2 0.254 0.483 0.304
Ge3 0.746 0.517 0.696
Ge4 0.746 0.983 0.196
Se1 0.071 0.509 0.201
Se2 0.071 0.991 0.701
Se3 0.262 0.648 0.500
Se4 0.262 0.852 0.000
Se5 0.289 0.237 0.882
Se6 0.289 0.263 0.382
Se7 0.410 0.530 0.139
Se8 0.410 0.970 0.639
Se9 0.424 0.567 0.674
Se10 0.424 0.933 0.174
Se11 0.576 0.067 0.826
Se12 0.576 0.433 0.326
Se13 0.590 0.030 0.361
Se14 0.590 0.470 0.861
Se15 0.711 0.737 0.618
Se16 0.711 0.763 0.118
Se17 0.738 0.148 0.000
Se18 0.738 0.352 0.500
Se19 0.929 0.009 0.299
Se20 0.929 0.491 0.799
```

Most intense lines, 10 to 90 degrees two-theta, sorted by position:
two_theta, intensity
15.1, 43
26.4, 57
26.5, 54
28.2, 34
30.0, 100
31.3, 52
34.1, 32
36.6, 48

=====

Starting from the GGA-PBE geometry in Alexandria, the powder XRD pattern of LaEuTlGe was computed for Cu Kα (weighted mean of Kα1 and Kα2).

Structure:
```
data_LaEuTlGe
_symmetry_space_group_name_H-M 'P 1'
_symmetry_Int_Tables_number 1
_cell_length_a 7.723
_cell_length_b 7.723
_cell_length_c 7.723
_cell_angle_alpha 90.00
_cell_angle_beta 90.00
_cell_angle_gamma 90.00
loop_
_symmetry_equiv_pos_as_xyz
'x,y,z'
loop_
_atom_site_label
_atom_site_fract_x
_atom_site_fract_y
_atom_site_fract_z
La1 0.000 0.000 0.000
La2 0.000 0.500 0.500
La3 0.500 0.000 0.500
La4 0.500 0.500 0.000
Eu1 0.000 0.000 0.500
Eu2 0.000 0.500 0.000
Eu3 0.500 0.000 0.000
Eu4 0.500 0.500 0.500
Tl1 0.250 0.250 0.750
Tl2 0.250 0.750 0.250
Tl3 0.750 0.250 0.250
Tl4 0.750 0.750 0.750
Ge1 0.250 0.250 0.250
Ge2 0.250 0.750 0.750
Ge3 0.750 0.250 0.750
Ge4 0.750 0.750 0.250
```

Most intense lines, 10 to 90 degrees two-theta, sorted by position:
two_theta, intensity
19.9, 11
32.8, 100
38.7, 6
47.1, 18
58.6, 38
68.8, 12
78.3, 16
87.5, 4

=====

Starting from the GGA-PBE geometry in Alexandria, the powder XRD pattern of SmEuMgGe was computed for Cu Kα (weighted mean of Kα1 and Kα2).

Structure:
```
data_SmEuMgGe
_symmetry_space_group_name_H-M 'P 1'
_symmetry_Int_Tables_number 1
_cell_length_a 7.489
_cell_length_b 7.489
_cell_length_c 7.489
_cell_angle_alpha 90.00
_cell_angle_beta 90.00
_cell_angle_gamma 90.00
loop_
_symmetry_equiv_pos_as_xyz
'x,y,z'
loop_
_atom_site_label
_atom_site_fract_x
_atom_site_fract_y
_atom_site_fract_z
Sm1 0.000 0.000 0.000
Sm2 0.000 0.500 0.500
Sm3 0.500 0.000 0.500
Sm4 0.500 0.500 0.000
Eu1 0.000 0.000 0.500
Eu2 0.000 0.500 0.000
Eu3 0.500 0.000 0.000
Eu4 0.500 0.500 0.500
Mg1 0.250 0.250 0.250
Mg2 0.250 0.750 0.750
Mg3 0.750 0.250 0.750
Mg4 0.750 0.750 0.250
Ge1 0.250 0.250 0.750
Ge2 0.250 0.750 0.250
Ge3 0.750 0.250 0.250
Ge4 0.750 0.750 0.750
```

Most intense lines, 10 to 90 degrees two-theta, sorted by position:
two_theta, intensity
23.8, 30
33.9, 100
41.8, 9
48.6, 18
54.8, 13
60.6, 37
71.2, 11
81.2, 16